Starting from a DFT-relaxed cell (GGA-PBE, Alexandria), the X-ray diffraction stick pattern of Pr3Sm8Dy2 was computed for CuKα.

Structure:
abc: 10.9286 10.9286 5.7781
angles: 90.00 90.00 138.40
Atoms (fractional coordinates):
Pr (0.0000, 0.0000, 0.0000)
Pr (0.2902, 0.2902, 0.5000)
Pr (0.7098, 0.7098, 0.5000)
Sm (0.1361, 0.8639, 0.5000)
Sm (0.1828, 0.3999, 0.0000)
Sm (0.3262, 0.6738, 0.5000)
Sm (0.3999, 0.1828, 0.0000)
Sm (0.6001, 0.8172, 0.0000)
Sm (0.6738, 0.3262, 0.5000)
Sm (0.8172, 0.6001, 0.0000)
Sm (0.8639, 0.1361, 0.5000)
Dy (0.2417, 0.7583, 0.0000)
Dy (0.7583, 0.2417, 0.0000)

Most intense lines, 10 to 90 degrees two-theta, in order of rising 2θ:
3.628 Å, 24.5°, intensity 24
3.066 Å, 29.1°, intensity 35
2.934 Å, 30.5°, intensity 36
2.889 Å, 31.0°, intensity 45
2.725 Å, 32.9°, intensity 100
2.555 Å, 35.1°, intensity 13
2.260 Å, 39.9°, intensity 13
1.635 Å, 56.3°, intensity 22
1.610 Å, 57.2°, intensity 11
1.532 Å, 60.4°, intensity 11

=====

Starting from a DFT-relaxed cell (GGA-PBE, Alexandria), the X-ray diffraction stick pattern of PrSm4Dy4 was computed for CuKα.

Structure:
abc: 6.2312 9.5273 10.7954
angles: 100.87 106.75 96.22
Atoms (fractional coordinates):
Pr (0.2500, 0.0840, 0.3043)
Pr (0.7500, 0.9160, 0.6957)
Sm (0.2488, 0.7479, 0.0824)
Sm (0.2500, 0.7491, 0.7509)
Sm (0.2508, 0.0844, 0.6404)
Sm (0.2516, 0.4176, 0.5286)
Sm (0.7484, 0.5824, 0.4714)
Sm (0.7492, 0.9156, 0.3596)
Sm (0.7500, 0.2509, 0.2491)
Sm (0.7512, 0.2521, 0.9176)
Dy (0.2468, 0.7478, 0.4150)
Dy (0.2505, 0.4168, 0.8623)
Dy (0.2499, 0.4183, 0.1929)
Dy (0.2517, 0.0844, 0.9724)
Dy (0.7483, 0.9156, 0.0276)
Dy (0.7501, 0.5817, 0.8071)
Dy (0.7495, 0.5832, 0.1377)
Dy (0.7532, 0.2522, 0.5850)

Most intense lines, 10 to 90 degrees two-theta, in order of rising 2θ:
2.939 Å, 30.4°, intensity 100
2.545 Å, 35.3°, intensity 51
1.800 Å, 50.7°, intensity 36
1.536 Å, 60.3°, intensity 14
1.534 Å, 60.3°, intensity 29
1.469 Å, 63.3°, intensity 12
1.168 Å, 82.6°, intensity 7
1.168 Å, 82.6°, intensity 10
1.139 Å, 85.2°, intensity 10
1.138 Å, 85.3°, intensity 7

=====

Starting from a DFT-relaxed cell (GGA-PBE, Alexandria), the X-ray diffraction stick pattern of Pr4Sm5Dy was computed for CuKα.

Structure:
abc: 10.8748 10.8748 5.8446
angles: 90.00 90.00 90.00
Atoms (fractional coordinates):
Pr (0.0437, 0.7500, 0.1315)
Pr (0.2500, 0.5437, 0.8685)
Pr (0.2500, 0.9563, 0.8685)
Pr (0.4563, 0.7500, 0.1315)
Pr (0.5437, 0.2500, 0.8685)
Pr (0.7500, 0.0437, 0.1315)
Pr (0.7500, 0.4563, 0.1315)
Pr (0.9563, 0.2500, 0.8685)
Sm (0.0886, 0.0886, 0.3366)
Sm (0.0886, 0.4114, 0.3366)
Sm (0.2500, 0.7500, 0.5000)
Sm (0.4114, 0.0886, 0.3366)
Sm (0.4114, 0.4114, 0.3366)
Sm (0.5886, 0.5886, 0.6634)
Sm (0.5886, 0.9114, 0.6634)
Sm (0.7500, 0.2500, 0.5000)
Sm (0.9114, 0.5886, 0.6634)
Sm (0.9114, 0.9114, 0.6634)
Dy (0.2500, 0.2500, 0.8690)
Dy (0.7500, 0.7500, 0.1310)

Most intense lines, 10 to 90 degrees two-theta, in order of rising 2θ:
3.212 Å, 27.8°, intensity 21
3.081 Å, 29.0°, intensity 100
2.964 Å, 30.2°, intensity 48
2.822 Å, 31.7°, intensity 34
2.563 Å, 35.0°, intensity 32
1.812 Å, 50.3°, intensity 16
1.745 Å, 52.4°, intensity 29
1.584 Å, 58.3°, intensity 13
1.562 Å, 59.1°, intensity 17
1.387 Å, 67.5°, intensity 11

=====

What did the first record say?
Starting from a DFT-relaxed cell (GGA-PBE, Alexandria), the X-ray diffraction stick pattern of Pr3Sm8Dy2 was computed for CuKα.

Structure:
abc: 10.9286 10.9286 5.7781
angles: 90.00 90.00 138.40
Atoms (fractional coordinates):
Pr (0.0000, 0.0000, 0.0000)
Pr (0.2902, 0.2902, 0.5000)
Pr (0.7098, 0.7098, 0.5000)
Sm (0.1361, 0.8639, 0.5000)
Sm (0.1828, 0.3999, 0.0000)
Sm (0.3262, 0.6738, 0.5000)
Sm (0.3999, 0.1828, 0.0000)
Sm (0.6001, 0.8172, 0.0000)
Sm (0.6738, 0.3262, 0.5000)
Sm (0.8172, 0.6001, 0.0000)
Sm (0.8639, 0.1361, 0.5000)
Dy (0.2417, 0.7583, 0.0000)
Dy (0.7583, 0.2417, 0.0000)

Most intense lines, 10 to 90 degrees two-theta, in order of rising 2θ:
3.628 Å, 24.5°, intensity 24
3.066 Å, 29.1°, intensity 35
2.934 Å, 30.5°, intensity 36
2.889 Å, 31.0°, intensity 45
2.725 Å, 32.9°, intensity 100
2.555 Å, 35.1°, intensity 13
2.260 Å, 39.9°, intensity 13
1.635 Å, 56.3°, intensity 22
1.610 Å, 57.2°, intensity 11
1.532 Å, 60.4°, intensity 11